Entry 1:
For K2BaAu, a structure optimized by DFT (GGA-PBE) gives the calculated X-ray powder pattern in this record (Cu Ka).
Peak positions follow from Bragg's law for the DFT cell and can differ from measured ones.

The 10 most intense peaks (15° ≤ 2θ ≤ 90°), low angle first:
3.923 Å, 22.7 deg, intensity 31, (0 0 5); 3.341 Å, 26.7 deg, intensity 100, (1 1 0); 3.294 Å, 27.1 deg, intensity 67, (1 1 -1); 3.269 Å, 27.3 deg, intensity 46, (0 0 6); 2.544 Å, 35.3 deg, intensity 41, (1 1 5); 2.363 Å, 38.1 deg, intensity 39, (2 0 0); 2.346 Å, 38.4 deg, intensity 27, (2 0 -1); 2.337 Å, 38.5 deg, intensity 73, (1 1 6); 1.915 Å, 47.5 deg, intensity 40, (0 2 6); 1.359 Å, 69.1 deg, intensity 25, (3 1 -6)

Structure:
Cell: 4.7252 4.7253 19.6143 Å, 90.00 90.00 90.00°
Space group P2_1 (No. 4)
Inequivalent atoms, fractional coordinates:
K 0.2482 0.0000 0.2418 [2 per cell]
K 0.2507 0.0008 0.9211 [2 per cell]
Ba 0.2502 0.9970 0.5809 [2 per cell]
Au 0.2498 0.9970 0.4126 [2 per cell]

=====

Entry 2:
For KBaAu, a structure optimized by DFT (GGA-PBE) gives the calculated X-ray powder pattern in this record (Cu Ka).
Peak positions follow from Bragg's law for the DFT cell and can differ from measured ones.

The 10 most intense peaks (15° ≤ 2θ ≤ 90°), low angle first:
3.275 Å, 27.2 deg, intensity 46, (0 0 4); 3.195 Å, 27.9 deg, intensity 93, (1 1 1); 3.111 Å, 28.7 deg, intensity 24, (1 0 -3); 2.943 Å, 30.4 deg, intensity 100, (1 1 2); 2.730 Å, 32.8 deg, intensity 29, (0 1 4); 2.633 Å, 34.1 deg, intensity 54, (1 1 -3); 2.627 Å, 34.1 deg, intensity 66, (1 1 3); 2.464 Å, 36.5 deg, intensity 33, (0 2 0); 2.422 Å, 37.1 deg, intensity 27, (0 2 1); 2.324 Å, 38.8 deg, intensity 30, (1 1 -4)

Structure:
Cell: 4.4288 4.9281 13.1137 Å, 90.00 90.13 90.00°
Space group P2_1/m (No. 11)
Inequivalent atoms, fractional coordinates:
K 0.0021 0.2500 0.3614 [2 per cell]
Ba 0.4993 0.2500 0.8716 [2 per cell]
Au 0.0004 0.2500 0.0757 [2 per cell]

=====

Entry 3:
For KBaAu2, a structure optimized by DFT (GGA-PBE) gives the calculated X-ray powder pattern in this record (Cu Ka).
Peak positions follow from Bragg's law for the DFT cell and can differ from measured ones.

The 10 most intense peaks (15° ≤ 2θ ≤ 90°), low angle first:
4.298 Å, 20.7 deg, intensity 34, (0 1 1); 3.215 Å, 27.7 deg, intensity 53, (1 1 1); 3.033 Å, 29.5 deg, intensity 21, (0 0 4); 2.571 Å, 34.9 deg, intensity 100, (1 1 3); 2.422 Å, 37.1 deg, intensity 21, (2 0 0); 2.299 Å, 39.2 deg, intensity 18, (0 2 0); 1.713 Å, 53.5 deg, intensity 18, (1 2 4); 1.667 Å, 55.1 deg, intensity 13, (2 2 0); 1.425 Å, 65.5 deg, intensity 16, (3 1 3); 1.347 Å, 69.8 deg, intensity 13, (2 1 7)

Structure:
Cell: 4.8448 4.5971 12.1184 Å, 90.00 90.00 90.00°
Space group Amm2 (No. 38)
Inequivalent atoms, fractional coordinates:
K 0.0000 0.0000 0.0000 [2 per cell]
Ba 0.5000 0.0000 0.7211 [2 per cell]
Au 0.0000 0.0000 0.2857 [2 per cell]
Au 0.5000 0.0000 0.4295 [2 per cell]

=====

Entry 4:
For K2Ba2Au, a structure optimized by DFT (GGA-PBE) gives the calculated X-ray powder pattern in this record (Cu Ka).
Peak positions follow from Bragg's law for the DFT cell and can differ from measured ones.

The 10 most intense peaks (15° ≤ 2θ ≤ 90°), low angle first:
4.089 Å, 21.7 deg, intensity 20, (0 1 2); 3.773 Å, 23.6 deg, intensity 44, (0 1 5); 3.341 Å, 26.7 deg, intensity 100, (0 1 8); 2.912 Å, 30.7 deg, intensity 29, (0 1 11); 2.401 Å, 37.5 deg, intensity 41, (1 1 0); 2.370 Å, 38.0 deg, intensity 30, (1 1 3); 2.326 Å, 38.7 deg, intensity 36, (1 0 16); 1.950 Å, 46.6 deg, intensity 22, (2 0 8); 1.513 Å, 61.2 deg, intensity 19, (1 2 8); 1.475 Å, 63.0 deg, intensity 16, (1 1 24)

Structure:
Cell: 4.8015 4.8015 44.8852 Å, 90.00 90.00 120.00°
Space group R-3m (No. 166, hexagonal axes)
Inequivalent atoms, fractional coordinates:
K 0.0000 0.0000 0.1259 [6 per cell]
Ba 0.0000 0.0000 0.3726 [6 per cell]
Au 0.0000 0.0000 0.0000 [3 per cell]

=====

Entry 5:
For KBa4Au, a structure optimized by DFT (GGA-PBE) gives the calculated X-ray powder pattern in this record (Cu Ka).
Peak positions follow from Bragg's law for the DFT cell and can differ from measured ones.

The 10 most intense peaks (15° ≤ 2θ ≤ 90°), low angle first:
3.822 Å, 23.3 deg, intensity 57, (1 5 0); 3.586 Å, 24.8 deg, intensity 94, (0 4 2); 3.398 Å, 26.2 deg, intensity 100, (2 0 0); 3.071 Å, 29.1 deg, intensity 36, (2 2 1); 2.947 Å, 30.3 deg, intensity 72, (0 6 2); 2.933 Å, 30.5 deg, intensity 81, (1 5 2); 2.466 Å, 36.4 deg, intensity 69, (2 4 2); 2.226 Å, 40.5 deg, intensity 66, (2 6 2); 1.911 Å, 47.6 deg, intensity 33, (2 10 0); 1.897 Å, 48.0 deg, intensity 35, (2 0 4)

Structure:
Cell: 6.7952 23.1156 9.1469 Å, 90.00 90.00 90.00°
Space group Cmcm (No. 63)
Inequivalent atoms, fractional coordinates:
K 0.0000 0.1071 0.2500 [4 per cell]
Ba 0.0000 0.1095 0.7500 [4 per cell]
Ba 0.0000 0.3035 0.5019 [8 per cell]
Ba 0.0000 0.5000 0.0000 [4 per cell]
Au 0.0000 0.4001 0.2500 [4 per cell]

=====

Entry 6:
For KBa3Au2O6, a structure optimized by DFT (GGA-PBE) gives the calculated X-ray powder pattern in this record (Cu Ka).
Peak positions follow from Bragg's law for the DFT cell and can differ from measured ones.

The 10 most intense peaks (15° ≤ 2θ ≤ 90°), low angle first:
4.351 Å, 20.4 deg, intensity 12, (0 1 1); 3.248 Å, 27.5 deg, intensity 100, (1 1 0); 2.931 Å, 30.5 deg, intensity 88, (0 1 2); 2.176 Å, 41.5 deg, intensity 43, (2 0 2); 1.876 Å, 48.5 deg, intensity 21, (3 0 0); 1.808 Å, 50.5 deg, intensity 42, (1 2 2); 1.624 Å, 56.7 deg, intensity 17, (2 2 0); 1.421 Å, 65.7 deg, intensity 18, (3 1 2); 1.335 Å, 70.5 deg, intensity 11, (1 2 4); 1.208 Å, 79.3 deg, intensity 12, (2 3 2)

Structure:
Cell: 6.4969 6.4969 6.8643 Å, 90.00 90.00 120.00°
Space group P-3m1 (No. 164)
Inequivalent atoms, fractional coordinates:
K 0.0000 0.0000 0.0000 [1 per cell]
Ba 0.0000 0.0000 0.5000 [1 per cell]
Ba 0.3333 0.6667 0.1172 [2 per cell]
Au 0.3333 0.6667 0.6303 [2 per cell]
O 0.1735 0.3470 0.7826 [6 per cell]

=====

Entry 7:
For Ba2Li6Au3, a structure optimized by DFT (GGA-PBE) gives the calculated X-ray powder pattern in this record (Cu Ka).
Peak positions follow from Bragg's law for the DFT cell and can differ from measured ones.

The 10 most intense peaks (15° ≤ 2θ ≤ 90°), low angle first:
4.220 Å, 21.1 deg, intensity 48, (1 1 0); 3.055 Å, 29.2 deg, intensity 100, (1 1 1); 2.819 Å, 31.7 deg, intensity 15, (2 0 1); 2.436 Å, 36.9 deg, intensity 30, (3 0 0); 2.344 Å, 38.4 deg, intensity 12, (2 1 1); 2.027 Å, 44.7 deg, intensity 11, (3 1 0); 1.961 Å, 46.3 deg, intensity 13, (1 1 2); 1.905 Å, 47.7 deg, intensity 20, (2 2 1); 1.639 Å, 56.1 deg, intensity 18, (3 0 2); 1.501 Å, 61.8 deg, intensity 15, (4 1 1)

Structure:
Cell: 8.4392 8.4392 4.4302 Å, 90.00 90.00 120.00°
Space group P-62m (No. 189)
Inequivalent atoms, fractional coordinates:
Ba 0.3333 0.6667 0.0000 [2 per cell]
Li 0.0000 0.2650 0.5000 [3 per cell]
Li 0.0000 0.8014 0.0000 [3 per cell]
Au 0.0000 0.6278 0.5000 [3 per cell]

=====

Entry 8:
For Ba4Li5Au6, a structure optimized by DFT (GGA-PBE) gives the calculated X-ray powder pattern in this record (Cu Ka).
Peak positions follow from Bragg's law for the DFT cell and can differ from measured ones.

The 10 most intense peaks (15° ≤ 2θ ≤ 90°), low angle first:
3.958 Å, 22.5 deg, intensity 44, (0 2 4); 3.775 Å, 23.6 deg, intensity 64, (1 3 1); 3.483 Å, 25.6 deg, intensity 42, (0 6 1); 3.330 Å, 26.8 deg, intensity 65, (0 4 4); 3.134 Å, 28.5 deg, intensity 82, (1 5 0); 3.097 Å, 28.8 deg, intensity 100, (1 1 4); 2.720 Å, 32.9 deg, intensity 47, (1 1 5); 2.307 Å, 39.1 deg, intensity 62, (2 0 0); 2.185 Å, 41.3 deg, intensity 55, (1 7 4); 1.499 Å, 61.9 deg, intensity 44, (1 9 8)

Structure:
Cell: 4.6133 21.3496 17.0476 Å, 90.00 90.00 90.00°
Space group Cmc2_1 (No. 36)
Inequivalent atoms, fractional coordinates:
Ba 0.0000 0.0155 0.0000 [4 per cell]
Ba 0.0000 0.0166 0.2580 [4 per cell]
Ba 0.0000 0.1758 0.8096 [4 per cell]
Ba 0.0000 0.1767 0.4472 [4 per cell]
Li 0.0000 0.1499 0.1287 [4 per cell]
Li 0.0000 0.2941 0.1283 [4 per cell]
Li 0.0000 0.3468 0.7530 [4 per cell]
Li 0.0000 0.3475 0.5042 [4 per cell]
Li 0.0000 0.4353 0.1304 [4 per cell]
Au 0.0000 0.1186 0.6283 [4 per cell]
Au 0.0000 0.2156 0.9999 [4 per cell]
Au 0.0000 0.2163 0.2570 [4 per cell]
Au 0.0000 0.4305 0.8887 [4 per cell]
Au 0.0000 0.4314 0.3685 [4 per cell]
Au 0.0000 0.4308 0.6288 [4 per cell]

=====

Entry 9:
For Ba2Li2Au3, a structure optimized by DFT (GGA-PBE) gives the calculated X-ray powder pattern in this record (Cu Ka).
Peak positions follow from Bragg's law for the DFT cell and can differ from measured ones.

The 10 most intense peaks (15° ≤ 2θ ≤ 90°), low angle first:
3.903 Å, 22.8 deg, intensity 28, (1 1 1); 3.808 Å, 23.4 deg, intensity 32, (1 3 0); 3.758 Å, 23.7 deg, intensity 37, (0 2 2); 3.066 Å, 29.1 deg, intensity 25, (1 5 0); 2.991 Å, 29.9 deg, intensity 100, (1 1 2); 2.866 Å, 31.2 deg, intensity 100, (1 5 1); 2.284 Å, 39.5 deg, intensity 37, (2 0 0); 2.196 Å, 41.1 deg, intensity 33, (1 3 3); 2.120 Å, 42.6 deg, intensity 26, (0 6 3); 2.113 Å, 42.8 deg, intensity 32, (1 7 2)

Structure:
Cell: 4.5670 20.6872 8.0667 Å, 90.00 90.00 90.00°
Space group Cmcm (No. 63)
Inequivalent atoms, fractional coordinates:
Ba 0.0000 0.0544 0.2500 [4 per cell]
Ba 0.0000 0.1573 0.7500 [4 per cell]
Li 0.0000 0.3082 0.5632 [8 per cell]
Au 0.0000 0.2207 0.2500 [4 per cell]
Au 0.0000 0.4352 0.0638 [8 per cell]

=====

Entry 10:
For BaLi2Au6, a structure optimized by DFT (GGA-PBE) gives the calculated X-ray powder pattern in this record (Cu Ka).
Peak positions follow from Bragg's law for the DFT cell and can differ from measured ones.

The 10 most intense peaks (15° ≤ 2θ ≤ 90°), low angle first:
4.807 Å, 18.5 deg, intensity 23, (1 0 0); 4.191 Å, 21.2 deg, intensity 85, (0 0 2); 3.159 Å, 28.3 deg, intensity 65, (1 0 2); 2.403 Å, 37.4 deg, intensity 100, (2 0 0); 2.314 Å, 38.9 deg, intensity 34, (1 1 2); 2.095 Å, 43.2 deg, intensity 22, (0 0 4); 2.085 Å, 43.4 deg, intensity 86, (2 0 2); 1.667 Å, 55.1 deg, intensity 21, (2 1 2); 1.579 Å, 58.4 deg, intensity 53, (2 0 4); 1.157 Å, 83.6 deg, intensity 21, (2 2 4)

Structure:
Cell: 5.5506 5.5506 8.3818 Å, 90.00 90.00 120.00°
Space group P6/mmm (No. 191)
Inequivalent atoms, fractional coordinates:
Ba 0.0000 0.0000 0.0000 [1 per cell]
Li 0.3333 0.6667 0.5000 [2 per cell]
Au 0.0000 0.5000 0.2415 [6 per cell]

=====

Entry 11:
For Ba2Li12Au7, a structure optimized by DFT (GGA-PBE) gives the calculated X-ray powder pattern in this record (Cu Ka).
Peak positions follow from Bragg's law for the DFT cell and can differ from measured ones.

The 10 most intense peaks (15° ≤ 2θ ≤ 90°), low angle first:
3.970 Å, 22.4 deg, intensity 29, (1 0 1); 3.406 Å, 26.2 deg, intensity 83, (1 2 0); 3.370 Å, 26.5 deg, intensity 65, (1 1 1); 3.156 Å, 28.3 deg, intensity 100, (2 0 1); 2.698 Å, 33.2 deg, intensity 38, (2 1 1); 2.242 Å, 40.2 deg, intensity 35, (2 2 1); 2.176 Å, 41.5 deg, intensity 32, (1 3 1); 1.873 Å, 48.6 deg, intensity 29, (2 3 1); 1.855 Å, 49.1 deg, intensity 31, (1 2 2); 1.520 Å, 61.0 deg, intensity 26, (5 1 1)

Structure:
Cell: 10.4050 10.4050 4.4229 Å, 90.00 90.00 120.00°
Space group P-6 (No. 174)
Inequivalent atoms, fractional coordinates:
Ba 0.0000 0.0000 0.0000 [1 per cell]
Ba 0.3333 0.6667 0.5000 [1 per cell]
Li 0.0083 0.7187 0.5000 [3 per cell]
Li 0.1479 0.3810 0.0000 [3 per cell]
Li 0.3856 0.1735 0.0000 [3 per cell]
Li 0.5485 0.1422 0.5000 [3 per cell]
Au 0.0214 0.5581 0.0000 [3 per cell]
Au 0.2533 0.0033 0.5000 [3 per cell]
Au 0.6667 0.3333 0.0000 [1 per cell]

=====

Entry 12:
For BaLi9Au3, a structure optimized by DFT (GGA-PBE) gives the calculated X-ray powder pattern in this record (Cu Ka).
Peak positions follow from Bragg's law for the DFT cell and can differ from measured ones.

The 10 most intense peaks (15° ≤ 2θ ≤ 90°), low angle first:
4.901 Å, 18.1 deg, intensity 52, (1 1 0); 4.769 Å, 18.6 deg, intensity 100, (0 2 1); 3.415 Å, 26.1 deg, intensity 23, (1 3 0); 3.378 Å, 26.4 deg, intensity 53, (0 0 2); 3.364 Å, 26.5 deg, intensity 75, (0 4 0); 2.451 Å, 36.7 deg, intensity 49, (2 2 0); 2.404 Å, 37.4 deg, intensity 48, (2 2 -2); 2.385 Å, 37.7 deg, intensity 48, (0 4 2); 2.162 Å, 41.8 deg, intensity 21, (2 4 -1); 2.134 Å, 42.3 deg, intensity 22, (2 0 -3)

Structure:
Cell: 5.6413 13.4665 7.2427 Å, 90.00 111.12 90.00°
Space group C2/m (No. 12)
Inequivalent atoms, fractional coordinates:
Ba 0.0000 0.0000 0.0000 [2 per cell]
Li 0.0000 0.5000 0.5000 [2 per cell]
Li 0.1204 0.3782 0.2350 [8 per cell]
Li 0.1475 0.1810 0.3466 [8 per cell]
Au 0.0000 0.0000 0.5000 [2 per cell]
Au 0.2500 0.2500 0.0000 [4 per cell]

=====

Entry 13:
For Ba3Li6Au5, a structure optimized by DFT (GGA-PBE) gives the calculated X-ray powder pattern in this record (Cu Ka).
Peak positions follow from Bragg's law for the DFT cell and can differ from measured ones.

The 10 most intense peaks (15° ≤ 2θ ≤ 90°), low angle first:
3.980 Å, 22.3 deg, intensity 26, (1 1 1); 3.841 Å, 23.2 deg, intensity 62, (0 0 3); 3.539 Å, 25.2 deg, intensity 95, (0 3 2); 3.415 Å, 26.1 deg, intensity 42, (1 1 2); 3.169 Å, 28.2 deg, intensity 71, (1 3 0); 3.055 Å, 29.2 deg, intensity 62, (1 3 1); 2.915 Å, 30.7 deg, intensity 100, (1 0 3); 2.776 Å, 32.2 deg, intensity 76, (1 3 2); 2.234 Å, 40.4 deg, intensity 44, (2 0 0); 2.050 Å, 44.2 deg, intensity 45, (0 3 5)

Structure:
Cell: 4.4673 13.4861 11.5223 Å, 90.00 90.00 90.00°
Space group Pmmn (No. 59, origin choice 2)
Inequivalent atoms, fractional coordinates:
Ba 0.2500 0.0912 0.2475 [4 per cell]
Ba 0.2500 0.7500 0.2462 [2 per cell]
Li 0.2500 0.0542 0.9209 [4 per cell]
Li 0.2500 0.2500 0.0034 [2 per cell]
Li 0.2500 0.2500 0.5115 [2 per cell]
Li 0.2500 0.5775 0.4946 [4 per cell]
Au 0.2500 0.0782 0.6504 [4 per cell]
Au 0.2500 0.6403 0.9807 [4 per cell]
Au 0.2500 0.7500 0.6127 [2 per cell]